Starting from a PBE-relaxed structure, the powder X-ray diffraction pattern of SnPbSe2 was computed for Cu Kα, 1.54184 Å.
Lines closer than 0.1° are merged.

Atomic structure:
abc: 4.3422 4.3422 21.2630
angles: 90.00 90.00 120.00
Space group R-3m (No. 166, hexagonal axes)
Symmetry-distinct sites (fractional):
Sn 0.0000 0.0000 0.0000
Pb 0.0000 0.0000 0.5000
Se 0.0000 0.0000 0.2524

Largest 6 diffraction maxima, by angle, 2θ from 15° to 90°:
2θ (°)  I/Imax
25.12  22
29.09  100
41.60  77
51.56  27
68.32  36
75.92  27



Starting from a PBE-relaxed structure, the powder X-ray diffraction pattern of Sn2PbSe3 was computed for Cu Kα, 1.54184 Å.
Lines closer than 0.1° are merged.

Atomic structure:
abc: 4.3180 4.3180 10.5897
angles: 90.00 90.00 120.00
Space group P-3m1 (No. 164)
Symmetry-distinct sites (fractional):
Sn 0.3333 0.6667 0.1647
Pb 0.0000 0.0000 0.5000
Se 0.0000 0.0000 0.0000
Se 0.3333 0.6667 0.6730

Largest 6 diffraction maxima, by angle, 2θ from 15° to 90°:
2θ (°)  I/Imax
25.25  19
29.24  100
41.82  76
51.84  27
68.72  35
76.37  27



Starting from a PBE-relaxed structure, the powder X-ray diffraction pattern of SnTePbSe was computed for Cu Kα, 1.54184 Å.
Lines closer than 0.1° are merged.

Atomic structure:
abc: 4.490 4.490 6.335
angles: 90.00 90.00 90.00
Space group P4/mmm (No. 123)
Symmetry-distinct sites (fractional):
Sn 0.000 0.000 0.000
Te 0.000 0.000 0.500
Pb 0.500 0.500 0.500
Se 0.500 0.500 0.000

Largest 6 diffraction maxima, by angle, 2θ from 15° to 90°:
2θ (°)  I/Imax
28.13  100
40.20  78
49.79  28
65.79  25
65.91  12
73.07  27



Starting from a PBE-relaxed structure, the powder X-ray diffraction pattern of SnTePbSe was computed for Cu Kα, 1.54184 Å.
Lines closer than 0.1° are merged.

Atomic structure:
abc: 4.4739 4.4739 21.9219
angles: 90.00 90.00 120.00
Space group R3m (No. 160, hexagonal axes)
Symmetry-distinct sites (fractional):
Sn 0.0000 0.0000 0.0000
Te 0.0000 0.0000 0.7522
Pb 0.0000 0.0000 0.5100
Se 0.0000 0.0000 0.2567

Largest 6 diffraction maxima, by angle, 2θ from 15° to 90°:
2θ (°)  I/Imax
28.21  100
40.32  77
49.93  27
58.33  13
66.03  35
73.29  26



Starting from a PBE-relaxed structure, the powder X-ray diffraction pattern of Tb14Pb3Se24 was computed for Cu Kα, 1.54184 Å.
Lines closer than 0.1° are merged.

Atomic structure:
abc: 12.510 8.797 19.773
angles: 90.00 108.40 90.00
Space group C2 (No. 5)
Symmetry-distinct sites (fractional):
Tb 0.004 0.000 0.128
Tb 0.040 0.751 0.699
Tb 0.127 0.245 0.622
Tb 0.167 0.503 0.213
Tb 0.170 0.126 0.337
Tb 0.176 0.506 0.461
Tb 0.209 0.252 0.040
Pb 0.000 0.626 0.000
Pb 0.165 0.377 0.832
Se 0.006 0.314 0.917
Se 0.028 0.432 0.302
Se 0.061 0.687 0.865
Se 0.065 0.065 0.746
Se 0.098 0.563 0.584
Se 0.108 0.192 0.463
Se 0.140 0.938 0.033
Se 0.160 0.825 0.418
Se 0.176 0.822 0.253
Se 0.193 0.927 0.634
Se 0.225 0.187 0.206
Se 0.245 0.564 0.088

Largest 6 diffraction maxima, by angle, 2θ from 15° to 90°:
2θ (°)  I/Imax
24.70  49
32.01  100
32.16  49
38.10  64
38.21  28
65.03  26



Starting from a PBE-relaxed structure, the powder X-ray diffraction pattern of U2PbSe5 was computed for Cu Kα, 1.54184 Å.
Lines closer than 0.1° are merged.

Atomic structure:
abc: 12.886 8.108 7.823
angles: 90.00 90.00 90.00
Space group Pnma (No. 62)
Symmetry-distinct sites (fractional):
U 0.179 0.002 0.020
Pb 0.009 0.250 0.567
Se 0.001 0.250 0.982
Se 0.120 0.539 0.672
Se 0.189 0.250 0.326
Se 0.213 0.750 0.303

Largest 6 diffraction maxima, by angle, 2θ from 15° to 90°:
2θ (°)  I/Imax
23.63  74
25.70  46
25.97  57
34.78  100
35.59  44
43.17  53



Starting from a PBE-relaxed structure, the powder X-ray diffraction pattern of U2PbSe5 was computed for Cu Kα, 1.54184 Å.
Lines closer than 0.1° are merged.

Atomic structure:
abc: 8.624 7.851 12.296
angles: 90.00 90.12 90.00
Space group P2_1/c (No. 14)
Symmetry-distinct sites (fractional):
U 0.001 0.020 0.182
U 0.245 0.079 0.491
Pb 0.490 0.018 0.180
Se 0.050 0.664 0.097
Se 0.220 0.043 0.998
Se 0.223 0.667 0.817
Se 0.232 0.196 0.718
Se 0.458 0.664 0.086

Largest 6 diffraction maxima, by angle, 2θ from 15° to 90°:
2θ (°)  I/Imax
24.50  78
24.64  51
25.22  54
34.16  100
35.88  43
43.92  56



Starting from a PBE-relaxed structure, the powder X-ray diffraction pattern of Sm5Pb4 was computed for Cu Kα, 1.54184 Å.
Lines closer than 0.1° are merged.

Atomic structure:
abc: 8.378 16.061 8.487
angles: 90.00 90.00 90.00
Space group Pnma (No. 62)
Symmetry-distinct sites (fractional):
Sm 0.031 0.101 0.179
Sm 0.122 0.619 0.340
Sm 0.208 0.250 0.503
Pb 0.073 0.250 0.874
Pb 0.159 0.750 0.648
Pb 0.219 0.043 0.532

Largest 6 diffraction maxima, by angle, 2θ from 15° to 90°:
2θ (°)  I/Imax
28.89  100
29.04  41
29.97  40
32.65  60
33.79  34
33.91  58



What did the second record say?
Starting from a PBE-relaxed structure, the powder X-ray diffraction pattern of Sn2PbSe3 was computed for Cu Kα, 1.54184 Å.
Lines closer than 0.1° are merged.

Atomic structure:
abc: 4.3180 4.3180 10.5897
angles: 90.00 90.00 120.00
Space group P-3m1 (No. 164)
Symmetry-distinct sites (fractional):
Sn 0.3333 0.6667 0.1647
Pb 0.0000 0.0000 0.5000
Se 0.0000 0.0000 0.0000
Se 0.3333 0.6667 0.6730

Largest 6 diffraction maxima, by angle, 2θ from 15° to 90°:
2θ (°)  I/Imax
25.25  19
29.24  100
41.82  76
51.84  27
68.72  35
76.37  27